Entry 1:
For DyReHgO6, a cell relaxed with PBE gives the computed XRD peak list in this record (Cu Kα).

The 10 most intense peaks (2θ from 10° to 80°), sorted by position:
two_theta  d (Å)  I_rel
22.32  3.983  100
24.96  3.568  88
28.61  3.121  51
31.46  2.843  84
33.10  2.706  29
35.35  2.539  24
37.68  2.387  28
41.61  2.170  28
44.29  2.045  33
51.57  1.772  27

Structure:
a b c (Å): 5.748 5.748 5.279
angles (deg): 97.67 97.67 121.40
Atoms (fractional coordinates):
Dy 0.000 0.000 0.000
Re 0.349 0.651 0.000
Hg 0.691 0.309 0.500
O 0.009 0.642 0.791
O 0.118 0.432 0.201
O 0.254 0.329 0.776
O 0.358 0.991 0.209
O 0.568 0.882 0.799
O 0.671 0.746 0.224

---

Entry 2:
For Mg2Ga5, a cell relaxed with PBE gives the computed XRD peak list in this record (Cu Kα).

The 10 most intense peaks (2θ from 10° to 80°), sorted by position:
two_theta  d (Å)  I_rel
23.20  3.834  14
36.68  2.450  100
36.93  2.434  98
42.16  2.144  34
42.94  2.106  32
43.17  2.095  31
61.93  1.498  21
62.52  1.486  20
73.31  1.291  12
74.88  1.268  23

Structure:
a b c (Å): 9.590 4.191 6.654
angles (deg): 90.00 97.82 90.00
Atoms (fractional coordinates):
Mg 0.075 0.000 0.221
Mg 0.425 0.500 0.779
Mg 0.575 0.500 0.221
Mg 0.925 0.000 0.779
Ga 0.000 0.500 0.500
Ga 0.141 0.500 0.924
Ga 0.214 0.000 0.649
Ga 0.286 0.500 0.351
Ga 0.359 0.000 0.076
Ga 0.500 0.000 0.500
Ga 0.641 0.000 0.924
Ga 0.714 0.500 0.649
Ga 0.786 0.000 0.351
Ga 0.859 0.500 0.076

---

Entry 3:
For DyErPtRh, a cell relaxed with PBE gives the computed XRD peak list in this record (Cu Kα).

The 10 most intense peaks (2θ from 10° to 80°), sorted by position:
two_theta  d (Å)  I_rel
32.68  2.740  100
33.96  2.640  30
34.92  2.570  20
40.02  2.253  23
40.85  2.209  64
41.77  2.162  29
48.42  1.880  19
54.89  1.673  15
65.83  1.419  15
76.18  1.250  12

Structure:
a b c (Å): 4.325 3.760 10.559
angles (deg): 90.00 90.00 90.00
Atoms (fractional coordinates):
Dy 0.000 0.000 0.000
Dy 0.000 0.500 0.500
Er 0.500 0.000 0.718
Er 0.500 0.500 0.218
Pt 0.500 0.000 0.443
Pt 0.500 0.500 0.943
Rh 0.000 0.000 0.267
Rh 0.000 0.500 0.767

---

Entry 4:
For La2SmTm4Th, a cell relaxed with PBE gives the computed XRD peak list in this record (Cu Kα).

The 10 most intense peaks (2θ from 10° to 80°), sorted by position:
two_theta  d (Å)  I_rel
30.60  2.922  100
34.85  2.574  36
36.70  2.449  15
50.12  1.820  13
51.51  1.774  23
59.87  1.545  30
62.33  1.490  13
63.70  1.461  12
73.60  1.287  4
78.04  1.225  2

Structure:
a b c (Å): 5.148 5.148 9.796
angles (deg): 90.00 90.00 90.00
Atoms (fractional coordinates):
La 0.000 0.000 0.000
La 0.500 0.500 0.500
Sm 0.000 0.000 0.500
Tm 0.000 0.500 0.245
Tm 0.000 0.500 0.755
Tm 0.500 0.000 0.245
Tm 0.500 0.000 0.755
Th 0.500 0.500 0.000

---

Entry 5:
For Cs6ICl4, a cell relaxed with PBE gives the computed XRD peak list in this record (Cu Kα).

The 10 most intense peaks (2θ from 10° to 80°), sorted by position:
two_theta  d (Å)  I_rel
22.64  3.927  50
22.79  3.902  89
24.41  3.646  100
25.57  3.483  51
32.78  2.732  23
34.46  2.602  36
35.15  2.553  33
35.99  2.496  34
41.73  2.164  20
42.30  2.137  34

Structure:
a b c (Å): 8.880 8.880 26.352
angles (deg): 90.00 90.00 146.58
Atoms (fractional coordinates):
Cs 0.000 0.000 0.000
Cs 0.000 0.000 0.500
Cs 0.176 0.824 0.750
Cs 0.273 0.727 0.079
Cs 0.273 0.727 0.421
Cs 0.468 0.532 0.659
Cs 0.468 0.532 0.841
Cs 0.532 0.468 0.159
Cs 0.532 0.468 0.341
Cs 0.727 0.273 0.579
Cs 0.727 0.273 0.921
Cs 0.824 0.176 0.250
I 0.139 0.861 0.250
I 0.861 0.139 0.750
Cl 0.097 0.903 0.617
Cl 0.097 0.903 0.883
Cl 0.364 0.636 0.542
Cl 0.364 0.636 0.958
Cl 0.636 0.364 0.042
Cl 0.636 0.364 0.458
Cl 0.903 0.097 0.117
Cl 0.903 0.097 0.383

---

Entry 6:
For Ba4NpTi3O12, a cell relaxed with PBE gives the computed XRD peak list in this record (Cu Kα).

The 10 most intense peaks (2θ from 10° to 80°), sorted by position:
two_theta  d (Å)  I_rel
15.17  5.840  23
26.43  3.372  13
30.61  2.920  100
34.33  2.612  7
37.73  2.384  7
40.88  2.207  10
43.84  2.065  31
54.42  1.686  40
63.74  1.460  19
72.36  1.306  17

Structure:
a b c (Å): 7.153 7.153 7.153
angles (deg): 109.47 109.47 109.47
Atoms (fractional coordinates):
Ba 0.000 0.000 0.500
Ba 0.000 0.500 0.000
Ba 0.500 0.000 0.000
Ba 0.500 0.500 0.500
Np 0.000 0.000 0.000
Ti 0.000 0.500 0.500
Ti 0.500 0.000 0.500
Ti 0.500 0.500 0.000
O 0.000 0.261 0.261
O 0.000 0.739 0.739
O 0.250 0.500 0.750
O 0.250 0.750 0.500
O 0.261 0.000 0.261
O 0.261 0.261 0.000
O 0.500 0.250 0.750
O 0.500 0.750 0.250
O 0.739 0.000 0.739
O 0.739 0.739 0.000
O 0.750 0.250 0.500
O 0.750 0.500 0.250

---

Entry 7:
For Ba3PbBr2, a cell relaxed with PBE gives the computed XRD peak list in this record (Cu Kα).

The 10 most intense peaks (2θ from 10° to 80°), sorted by position:
two_theta  d (Å)  I_rel
25.49  3.494  100
25.70  3.467  50
35.94  2.499  20
36.51  2.461  78
36.78  2.444  17
44.71  2.027  22
45.41  1.997  18
59.22  1.560  16
59.53  1.553  19
66.07  1.414  16

Structure:
a b c (Å): 9.775 6.934 14.992
angles (deg): 90.00 90.00 90.00
Atoms (fractional coordinates):
Ba 0.115 0.250 0.245
Ba 0.116 0.250 0.921
Ba 0.117 0.250 0.580
Ba 0.383 0.750 0.080
Ba 0.384 0.750 0.421
Ba 0.385 0.750 0.745
Ba 0.615 0.250 0.255
Ba 0.616 0.250 0.579
Ba 0.617 0.250 0.920
Ba 0.883 0.750 0.420
Ba 0.884 0.750 0.079
Ba 0.885 0.750 0.755
Pb 0.152 0.750 0.914
Pb 0.348 0.250 0.414
Pb 0.652 0.750 0.586
Pb 0.848 0.250 0.086
Br 0.128 0.750 0.588
Br 0.133 0.750 0.243
Br 0.367 0.250 0.743
Br 0.372 0.250 0.088
Br 0.628 0.750 0.912
Br 0.633 0.750 0.257
Br 0.867 0.250 0.757
Br 0.872 0.250 0.412

---

Entry 8:
For K8Tl10Zn, a cell relaxed with PBE gives the computed XRD peak list in this record (Cu Kα).

The 10 most intense peaks (2θ from 10° to 80°), sorted by position:
two_theta  d (Å)  I_rel
10.58  8.363  100
11.99  7.380  16
22.91  3.882  15
27.77  3.212  31
31.99  2.797  12
33.26  2.693  49
33.51  2.674  16
37.50  2.398  24
38.59  2.333  24
54.92  1.672  11

Structure:
a b c (Å): 10.437 10.437 13.978
angles (deg): 90.00 90.00 90.00
Atoms (fractional coordinates):
K 0.046 0.677 0.105
K 0.046 0.823 0.395
K 0.177 0.546 0.605
K 0.177 0.954 0.895
K 0.323 0.546 0.895
K 0.323 0.954 0.605
K 0.454 0.677 0.395
K 0.454 0.823 0.105
K 0.546 0.177 0.895
K 0.546 0.323 0.605
K 0.677 0.046 0.395
K 0.677 0.454 0.105
K 0.823 0.046 0.105
K 0.823 0.454 0.395
K 0.954 0.177 0.605
K 0.954 0.323 0.895
Tl 0.009 0.154 0.340
Tl 0.009 0.346 0.160
Tl 0.154 0.009 0.160
Tl 0.154 0.491 0.340
Tl 0.250 0.250 0.039
Tl 0.250 0.250 0.461
Tl 0.346 0.009 0.340
Tl 0.346 0.491 0.160
Tl 0.491 0.154 0.160
Tl 0.491 0.346 0.340
Tl 0.509 0.654 0.660
Tl 0.509 0.846 0.840
Tl 0.654 0.509 0.840
Tl 0.654 0.991 0.660
Tl 0.750 0.750 0.539
Tl 0.750 0.750 0.961
Tl 0.846 0.509 0.660
Tl 0.846 0.991 0.840
Tl 0.991 0.654 0.840
Tl 0.991 0.846 0.660
Zn 0.250 0.250 0.250
Zn 0.750 0.750 0.750